Entry 1:
This entry pairs a crystal structure of Cd5InPb2 with its theoretical X-ray diffraction stick pattern. Radiation: a wavelength of 1.5418 Å. Structure: DFT lattice parameters and positions (PBE).

Unit cell a=6.7174 b=12.9105 c=4.7590 alpha=90.00 beta=90.00 gamma=90.00
Element x y z (fractional)
Cd  0.0000  0.0000  0.0000
Cd  0.0184  0.2422  0.0000
Cd  0.2484  0.1164  0.5000
Cd  0.2516  0.6164  0.5000
Cd  0.4816  0.7422  0.0000
Cd  0.5000  0.5000  0.0000
Cd  0.5184  0.2578  0.0000
Cd  0.7484  0.3836  0.5000
Cd  0.7516  0.8836  0.5000
Cd  0.9816  0.7578  0.0000
In  0.0000  0.5000  0.0000
In  0.5000  0.0000  0.0000
Pb  0.2496  0.3652  0.5000
Pb  0.2504  0.8652  0.5000
Pb  0.7496  0.1348  0.5000
Pb  0.7504  0.6348  0.5000

Principal peaks in the range 2θ from 5° to 70°, by intensity:
d_spacing	intensity
2.744	100.0
2.671	90.2
2.327	60.4
1.664	42.6
2.380	33.9
1.422	24.0
1.391	20.8
1.434	13.3
1.424	12.7
1.372	11.1

Entry 2:
This entry pairs a crystal structure of CoSn with its theoretical X-ray diffraction stick pattern. Radiation: a wavelength of 1.5418 Å. Structure: DFT lattice parameters and positions (PBE).

Unit cell a=4.0005 b=8.5663 c=6.3258 alpha=90.00 beta=90.00 gamma=90.00
Element x y z (fractional)
Co  0.2500  0.0391  0.1052
Co  0.2500  0.2500  0.3404
Co  0.2500  0.4609  0.1052
Co  0.7500  0.5391  0.8948
Co  0.7500  0.7500  0.6596
Co  0.7500  0.9609  0.8948
Sn  0.2500  0.0665  0.6709
Sn  0.2500  0.4335  0.6709
Sn  0.2500  0.7500  0.9478
Sn  0.7500  0.2500  0.0522
Sn  0.7500  0.5665  0.3291
Sn  0.7500  0.9335  0.3291

Principal peaks in the range 2θ from 5° to 70°, by intensity:
d_spacing	intensity
2.147	100.0
2.324	63.9
3.145	60.8
2.000	44.1
2.603	37.0
2.383	27.9
2.119	22.7
2.481	20.6
3.381	18.3
2.109	17.8

Entry 3:
This entry pairs a crystal structure of LaBeS3 with its theoretical X-ray diffraction stick pattern. Radiation: a wavelength of 1.5418 Å. Structure: DFT lattice parameters and positions (PBE).

Unit cell a=4.4889 b=4.4889 c=4.4889 alpha=90.00 beta=90.00 gamma=90.00
Element x y z (fractional)
La  0.0000  0.0000  0.0000
Be  0.5000  0.5000  0.5000
S  0.0000  0.5000  0.5000
S  0.5000  0.0000  0.5000
S  0.5000  0.5000  0.0000

Principal peaks in the range 2θ from 5° to 70°, by intensity:
d_spacing	intensity
2.592	100.0
3.174	58.5
2.244	53.8
4.489	50.6
1.353	36.5
1.587	34.7
2.008	26.7
1.833	25.2
1.496	13.2
1.420	11.0

Entry 4:
This entry pairs a crystal structure of Nd4Dy2Y2Ho with its theoretical X-ray diffraction stick pattern. Radiation: a wavelength of 1.5418 Å. Structure: DFT lattice parameters and positions (PBE).

Unit cell a=8.0732 b=8.0732 c=8.0650 alpha=107.49 beta=107.49 gamma=36.87
Element x y z (fractional)
Nd  0.0546  0.0546  0.3302
Nd  0.2779  0.2779  0.6686
Nd  0.7221  0.7221  0.3314
Nd  0.9454  0.9454  0.6698
Dy  0.1668  0.1668  0.0001
Dy  0.8332  0.8332  0.9999
Y  0.3885  0.3885  0.3301
Y  0.6115  0.6115  0.6699
Ho  0.5000  0.5000  0.0000

Principal peaks in the range 2θ from 5° to 70°, by intensity:
d_spacing	intensity
2.947	100.0
2.552	50.5
1.539	42.6
1.805	35.9
1.473	12.3
7.650	1.8
6.371	1.0
3.514	0.9
4.284	0.8
4.817	0.7

Entry 5:
This entry pairs a crystal structure of Nd4YTh3 with its theoretical X-ray diffraction stick pattern. Radiation: a wavelength of 1.5418 Å. Structure: DFT lattice parameters and positions (PBE).

Unit cell a=5.1025 b=10.2304 c=10.3337 alpha=90.00 beta=90.00 gamma=90.00
Element x y z (fractional)
Nd  0.2500  0.0011  0.1338
Nd  0.2500  0.2500  0.8701
Nd  0.2500  0.4989  0.1338
Nd  0.2500  0.7500  0.8623
Nd  0.7500  0.2500  0.1377
Nd  0.7500  0.5011  0.8662
Nd  0.7500  0.7500  0.1299
Nd  0.7500  0.9989  0.8662
Y  0.2500  0.7500  0.3817
Y  0.7500  0.2500  0.6183
Th  0.2500  0.2500  0.3808
Th  0.2500  0.5026  0.6181
Th  0.2500  0.9974  0.6181
Th  0.7500  0.0026  0.3819
Th  0.7500  0.4974  0.3819
Th  0.7500  0.7500  0.6192

Principal peaks in the range 2θ from 5° to 70°, by intensity:
d_spacing	intensity
2.961	100.0
2.554	33.9
1.816	23.9
2.583	16.8
1.543	14.5
1.541	14.5
1.555	13.8
1.480	12.3
1.806	12.2
10.334	6.7

Entry 6:
This entry pairs a crystal structure of PuMnPd with its theoretical X-ray diffraction stick pattern. Radiation: a wavelength of 1.5418 Å. Structure: DFT lattice parameters and positions (PBE).

Unit cell a=7.0314 b=7.0314 c=7.0314 alpha=144.82 beta=144.82 gamma=50.61
Element x y z (fractional)
Pu  0.1542  0.1542  0.0000
Pu  0.8458  0.8458  0.0000
Mn  0.0000  0.5000  0.5000
Mn  0.5000  0.0000  0.5000
Pd  0.3731  0.3731  0.0000
Pd  0.6269  0.6269  0.0000

Principal peaks in the range 2θ from 5° to 70°, by intensity:
d_spacing	intensity
3.004	100.0
2.184	82.8
2.125	48.6
2.717	25.1
1.733	24.1
3.178	23.6
1.767	18.3
1.503	16.1
1.500	15.1
1.344	12.2

Entry 7:
This entry pairs a crystal structure of TlBi4Pb15 with its theoretical X-ray diffraction stick pattern. Radiation: a wavelength of 1.5418 Å. Structure: DFT lattice parameters and positions (PBE).

Unit cell a=5.6849 b=5.6849 c=19.5799 alpha=90.00 beta=90.00 gamma=90.00
Element x y z (fractional)
Tl  0.0000  0.0000  0.0000
Bi  0.0000  0.0000  0.1895
Bi  0.0000  0.0000  0.3956
Bi  0.0000  0.0000  0.6044
Bi  0.0000  0.0000  0.8105
Pb  0.0000  0.5000  0.1011
Pb  0.0000  0.5000  0.2994
Pb  0.0000  0.5000  0.5000
Pb  0.0000  0.5000  0.7006
Pb  0.0000  0.5000  0.8989
Pb  0.5000  0.0000  0.1011
Pb  0.5000  0.0000  0.2994
Pb  0.5000  0.0000  0.5000
Pb  0.5000  0.0000  0.7006
Pb  0.5000  0.0000  0.8989
Pb  0.5000  0.5000  0.0000
Pb  0.5000  0.5000  0.2070
Pb  0.5000  0.5000  0.4040
Pb  0.5000  0.5000  0.5960
Pb  0.5000  0.5000  0.7930

Principal peaks in the range 2θ from 5° to 70°, by intensity:
d_spacing	intensity
2.805	100.0
2.842	52.8
1.634	41.4
2.010	20.1
1.612	18.7
1.403	11.9
1.958	8.6
1.421	6.9
1.653	0.7
3.709	0.7

Entry 8:
This entry pairs a crystal structure of Cd5Pb3 with its theoretical X-ray diffraction stick pattern. Radiation: a wavelength of 1.5418 Å. Structure: DFT lattice parameters and positions (PBE).

Unit cell a=9.3747 b=9.3747 c=5.8126 alpha=90.00 beta=90.00 gamma=120.00
Element x y z (fractional)
Cd  0.0000  0.1972  0.2500
Cd  0.0000  0.8028  0.7500
Cd  0.1972  0.0000  0.2500
Cd  0.1972  0.1972  0.7500
Cd  0.3333  0.6667  0.0000
Cd  0.3333  0.6667  0.5000
Cd  0.6667  0.3333  0.0000
Cd  0.6667  0.3333  0.5000
Cd  0.8028  0.0000  0.7500
Cd  0.8028  0.8028  0.2500
Pb  0.0000  0.3976  0.7500
Pb  0.0000  0.6024  0.2500
Pb  0.3976  0.0000  0.7500
Pb  0.3976  0.3976  0.2500
Pb  0.6024  0.0000  0.2500
Pb  0.6024  0.6024  0.7500

Principal peaks in the range 2θ from 5° to 70°, by intensity:
d_spacing	intensity
2.712	100.0
2.470	32.1
3.649	28.4
1.418	24.3
2.174	24.0
3.069	19.5
1.638	17.6
2.906	16.6
2.252	15.6
2.363	14.5